Diffraction record for Ce3Sb2Se. The powder XRD pattern is calculated, not measured: it uses DFT lattice parameters and positions (GGA-PBE) and λ = 1.5418 Å (Cu Kα).
Neutral-atom scattering factors, no anomalous dispersion.

Main lines, in order of rising 2θ (10 to 90 degrees two-theta):
h k l  Position (°2θ)  d/Å  intensity
1 3 1  28.6  3.119  100.0
1 3 -3  40.9  2.206  75.2
0 0 4  50.7  1.801  20.1
4 0 -4  59.2  1.560  12.3
3 3 -5  67.1  1.395  28.0
2 0 -6  74.5  1.274  18.7

Crystal structure
Cell: 7.633 13.235 7.647 Å, 90.00 109.44 90.00°
Space group C2/c (No. 15)
Asymmetric unit:
Ce1 0.235 0.079 0.497 (multiplicity 8)
Ce2 0.250 0.250 0.000 (multiplicity 4)
Sb1 0.000 0.254 0.250 (multiplicity 4)
Sb2 0.000 0.418 0.750 (multiplicity 4)
Se1 0.000 0.086 0.750 (multiplicity 4)


Diffraction record for Nd2SmEr4Tm. The powder XRD pattern is calculated, not measured: it uses DFT lattice parameters and positions (GGA-PBE) and λ = 1.5418 Å (Cu Kα).
Neutral-atom scattering factors, no anomalous dispersion.

Main lines, in order of rising 2θ (10 to 90 degrees two-theta):
h k l  Position (°2θ)  d/Å  intensity
0 0 4  26.9  3.309  67.7
0 4 0  30.3  2.952  50.3
2 2 0  30.4  2.940  100.0
0 4 4  41.0  2.203  44.3
2 2 4  41.1  2.198  88.3
2 2 8  64.6  1.442  34.2

Crystal structure
Cell: 6.780 11.806 13.236 Å, 90.00 90.00 90.00°
Space group Imma (No. 74)
Asymmetric unit:
Nd1 0.000 0.000 0.000 (multiplicity 4)
Nd2 0.250 0.250 0.250 (multiplicity 4)
Sm1 0.000 0.000 0.500 (multiplicity 4)
Er1 0.000 0.005 0.750 (multiplicity 8)
Er2 0.250 0.250 0.506 (multiplicity 8)
Tm1 0.250 0.250 0.750 (multiplicity 4)


Diffraction record for K6Zn4Sn5S17. The powder XRD pattern is calculated, not measured: it uses DFT lattice parameters and positions (GGA-PBE) and λ = 1.5418 Å (Cu Kα).
Neutral-atom scattering factors, no anomalous dispersion.

Main lines, in order of rising 2θ (10 to 90 degrees two-theta):
h k l  Position (°2θ)  d/Å  intensity
1 1 0  11.0  8.076  100.0
1 1 -1  11.1  7.999  85.3
0 4 2  25.4  3.507  44.5
1 5 1  27.7  3.222  35.7
1 3 -3  27.9  3.203  38.1
3 3 0  33.3  2.691  40.8

Crystal structure
Cell: 9.810 19.785 11.017 Å, 90.00 115.61 90.00°
Space group C2 (No. 5)
Asymmetric unit:
K1 0.000 0.000 0.000 (multiplicity 2)
K2 0.000 0.097 0.500 (multiplicity 2)
K3 0.000 0.482 0.000 (multiplicity 2)
K4 0.000 0.739 0.000 (multiplicity 2)
K5 0.245 0.763 0.514 (multiplicity 4)
Zn1 0.070 0.171 0.864 (multiplicity 4)
Zn2 0.205 0.310 0.135 (multiplicity 4)
Sn1 0.000 0.489 0.500 (multiplicity 2)
Sn2 0.111 0.352 0.775 (multiplicity 4)
Sn3 0.166 0.629 0.774 (multiplicity 4)
S1 0.000 0.241 0.000 (multiplicity 2)
S2 0.067 0.562 0.355 (multiplicity 4)
S3 0.085 0.745 0.722 (multiplicity 4)
S4 0.127 0.099 0.277 (multiplicity 4)
S5 0.134 0.236 0.715 (multiplicity 4)
S6 0.142 0.384 0.271 (multiplicity 4)
S7 0.212 0.417 0.640 (multiplicity 4)
S8 0.212 0.876 0.997 (multiplicity 4)
S9 0.222 0.603 0.004 (multiplicity 4)


Diffraction record for HoZrRu4. The powder XRD pattern is calculated, not measured: it uses DFT lattice parameters and positions (GGA-PBE) and λ = 1.5418 Å (Cu Kα).
Neutral-atom scattering factors, no anomalous dispersion.

Main lines, in order of rising 2θ (10 to 90 degrees two-theta):
h k l  Position (°2θ)  d/Å  intensity
2 2 0  34.0  2.634  33.9
3 1 1  40.1  2.246  100.0
2 2 2  42.0  2.150  33.6
4 2 2  60.9  1.521  12.5
5 1 1  65.1  1.434  31.4
4 4 0  71.7  1.317  25.7

Crystal structure
Cell: 7.449 7.449 7.449 Å, 90.00 90.00 90.00°
Space group F-43m (No. 216)
Asymmetric unit:
Ho1 0.000 0.000 0.000 (multiplicity 4)
Zr1 0.250 0.250 0.250 (multiplicity 4)
Ru1 0.125 0.125 0.625 (multiplicity 16)


Diffraction record for Mg4PRh6. The powder XRD pattern is calculated, not measured: it uses DFT lattice parameters and positions (GGA-PBE) and λ = 1.5418 Å (Cu Kα).
Neutral-atom scattering factors, no anomalous dispersion.

Main lines, in order of rising 2θ (10 to 90 degrees two-theta):
h k l  Position (°2θ)  d/Å  intensity
0 2 2  24.6  3.624  40.3
0 3 1  32.7  2.740  31.0
1 0 2  33.7  2.658  28.2
0 0 6  37.2  2.416  34.4
1 2 2  40.2  2.244  100.0
0 4 0  43.2  2.092  43.0

Crystal structure
Cell: 2.857 8.375 14.488 Å, 90.00 90.00 90.00°
Space group Amm2 (No. 38)
Asymmetric unit:
Mg1 0.000 0.000 0.000 (multiplicity 2)
Mg2 0.000 0.185 0.815 (multiplicity 4)
Mg3 0.500 0.000 0.543 (multiplicity 2)
P1 0.500 0.000 0.210 (multiplicity 2)
Rh1 0.000 0.000 0.339 (multiplicity 2)
Rh2 0.000 0.195 0.145 (multiplicity 4)
Rh3 0.500 0.000 0.708 (multiplicity 2)
Rh4 0.500 0.248 0.461 (multiplicity 4)